No. 1
Diffraction record for CaSnS3O12. The PXRD pattern is simulated, not measured: it uses a crystal structure in the Materials Project, relaxed with PBE and Cu Kα, 1.54184 Å.
Peak positions follow from Bragg's law for the DFT cell and can differ from measured ones.

Structure:
a = 9.0762 Å, b = 9.0762 Å, c = 22.7125 Å
α = 90.00°, β = 90.00°, γ = 120.00°
Space group R3c (No. 161, hexagonal axes)
Symmetry-distinct sites (fractional):
Ca1 0.0000 0.0000 0.0000 (multiplicity 6)
Sn1 0.0000 0.0000 0.2879 (multiplicity 6)
S1 0.0293 0.3044 0.3881 (multiplicity 18)
O1 0.0004 0.2209 0.0452 (multiplicity 18)
O2 0.0031 0.1983 0.4389 (multiplicity 18)
O3 0.0626 0.2285 0.3323 (multiplicity 18)
O4 0.1928 0.0522 0.7267 (multiplicity 18)

Main lines, in order of rising 2θ (2θ from 15° to 90°):
d [Å], two_theta, I_rel, h k l
4.603, 19.28, 74, 1 0 4
4.538, 19.56, 38, 1 1 0
3.892, 22.85, 100, 1 1 3
3.232, 27.60, 65, 0 2 4
2.907, 30.76, 63, 1 1 6
2.874, 31.12, 23, 1 2 2
2.632, 34.06, 23, 2 1 4
2.620, 34.22, 29, 3 0 0
1.946, 46.67, 21, 2 2 6
1.804, 50.59, 24, 2 1 10

No. 2
Diffraction record for CaSb2O4. The PXRD pattern is simulated, not measured: it uses a crystal structure in the Materials Project, relaxed with PBE and Cu Kα, 1.54184 Å.
Peak positions follow from Bragg's law for the DFT cell and can differ from measured ones.

Structure:
a = 6.753 Å, b = 6.761 Å, c = 18.048 Å
α = 89.98°, β = 87.55°, γ = 65.33°
Space group P1 (No. 1)
Symmetry-distinct sites (fractional):
Ca1 0.000 0.000 0.000 (multiplicity 1)
Ca2 0.005 0.008 0.723 (multiplicity 1)
Ca3 0.386 0.390 0.310 (multiplicity 1)
Ca4 0.648 0.641 0.426 (multiplicity 1)
Ca5 0.661 0.718 0.667 (multiplicity 1)
Ca6 0.697 0.715 0.023 (multiplicity 1)
Sb1 0.000 0.017 0.368 (multiplicity 1)
Sb2 0.005 0.527 0.856 (multiplicity 1)
Sb3 0.145 0.187 0.563 (multiplicity 1)
Sb4 0.168 0.676 0.502 (multiplicity 1)
Sb5 0.286 0.357 0.704 (multiplicity 1)
Sb6 0.329 0.411 0.097 (multiplicity 1)
Sb7 0.359 0.843 0.196 (multiplicity 1)
Sb8 0.509 0.474 0.909 (multiplicity 1)
Sb9 0.558 0.966 0.847 (multiplicity 1)
Sb10 0.631 0.255 0.531 (multiplicity 1)
Sb11 0.852 0.899 0.168 (multiplicity 1)
Sb12 0.868 0.392 0.234 (multiplicity 1)
O1 0.021 0.446 0.637 (multiplicity 1)
O2 0.041 0.661 0.074 (multiplicity 1)
O3 0.083 0.016 0.139 (multiplicity 1)
O4 0.103 0.239 0.312 (multiplicity 1)
O5 0.119 0.253 0.778 (multiplicity 1)
O6 0.123 0.651 0.763 (multiplicity 1)
O7 0.200 0.692 0.246 (multiplicity 1)
O8 0.257 0.888 0.439 (multiplicity 1)
O9 0.320 0.010 0.646 (multiplicity 1)
O10 0.389 0.439 0.437 (multiplicity 1)
O11 0.389 0.777 0.950 (multiplicity 1)
O12 0.390 0.348 0.990 (multiplicity 1)
O13 0.496 0.608 0.114 (multiplicity 1)
O14 0.601 0.550 0.558 (multiplicity 1)
O15 0.631 0.580 0.305 (multiplicity 1)
O16 0.664 0.030 0.748 (multiplicity 1)
O17 0.690 0.041 0.079 (multiplicity 1)
O18 0.701 0.643 0.807 (multiplicity 1)
O19 0.714 0.191 0.239 (multiplicity 1)
O20 0.807 0.385 0.950 (multiplicity 1)
O21 0.826 0.865 0.909 (multiplicity 1)
O22 0.840 0.256 0.447 (multiplicity 1)
O23 0.904 0.770 0.443 (multiplicity 1)
O24 0.909 0.092 0.595 (multiplicity 1)

Main lines, in order of rising 2θ (2θ from 15° to 90°):
d [Å], two_theta, I_rel, h k l
5.715, 15.51, 40, 1 0 -1
5.383, 16.47, 51, 1 1 -1
3.172, 28.13, 62, 1 -1 3
3.084, 28.96, 50, 0 1 5
3.044, 29.34, 57, 2 0 1
3.013, 29.65, 100, 1 1 -5
2.927, 30.54, 63, 0 2 -2
2.861, 31.26, 47, 2 0 -2
2.732, 32.79, 42, 2 2 2
2.515, 35.70, 53, 0 2 4

No. 3
Diffraction record for CaSb2O5. The PXRD pattern is simulated, not measured: it uses a crystal structure in the Materials Project, relaxed with PBE and Cu Kα, 1.54184 Å.
Peak positions follow from Bragg's law for the DFT cell and can differ from measured ones.

Structure:
a = 4.094 Å, b = 11.190 Å, c = 12.913 Å
α = 90.00°, β = 90.00°, γ = 90.00°
Space group Cmcm (No. 63)
Symmetry-distinct sites (fractional):
Ca1 0.000 0.094 0.250 (multiplicity 4)
Sb1 0.000 0.206 0.602 (multiplicity 8)
O1 0.000 0.041 0.627 (multiplicity 8)
O2 0.000 0.243 0.083 (multiplicity 8)
O3 0.000 0.287 0.750 (multiplicity 4)

Main lines, in order of rising 2θ (2θ from 15° to 90°):
d [Å], two_theta, I_rel, h k l
5.595, 15.84, 100, 0 2 0
3.845, 23.13, 34, 1 1 0
3.685, 24.15, 49, 1 1 1
3.412, 26.12, 43, 0 2 3
3.228, 27.63, 22, 0 0 4
2.868, 31.19, 68, 1 1 3
2.797, 32.00, 28, 0 2 4
2.697, 33.22, 20, 1 3 1
2.047, 44.24, 21, 2 0 0
1.678, 54.71, 24, 1 5 4